Simulated powder diffraction line list of SrVSbBr2 for CuKα, from a crystal structure in Alexandria, relaxed with GGA-PBE.
Lines closer than 0.1° are merged.

Peak list (10 most intense, 2θ from 5° to 70°, most intense first)
| two_theta | I/Imax |
| --- | --- |
| 31.43 | 100 |
| 42.11 | 88 |
| 15.57 | 75 |
| 27.31 | 72 |
| 26.00 | 61 |
| 13.56 | 44 |
| 53.48 | 43 |
| 45.04 | 36 |
| 31.59 | 28 |
| 20.70 | 23 |

Structural model:
Unit cell a=5.693 b=5.693 c=6.531 alpha=90.00 beta=90.00 gamma=90.00
Fractional coordinates of all 5 atoms:
Sr1 0.000 0.000 0.000
V1 0.500 0.500 0.000
Sb1 0.000 0.000 0.500
Br1 0.000 0.500 0.500
Br2 0.500 0.000 0.500

Simulated powder diffraction line list of NbBTe2 for CuKα, from a crystal structure in Alexandria, relaxed with GGA-PBE.
Lines closer than 0.1° are merged.

Peak list (10 most intense, 2θ from 5° to 70°, most intense first)
| two_theta | I/Imax |
| --- | --- |
| 27.26 | 100 |
| 47.00 | 35 |
| 33.89 | 34 |
| 50.49 | 21 |
| 41.64 | 19 |
| 30.62 | 14 |
| 61.21 | 12 |
| 45.27 | 12 |
| 59.63 | 11 |
| 29.11 | 8 |

Structural model:
Unit cell a=6.605 b=6.605 c=6.605 alpha=124.66 beta=124.66 gamma=82.11
Fractional coordinates of all 8 atoms:
Nb1 0.000 0.000 0.000
Nb2 0.750 0.250 0.500
B1 0.250 0.750 0.500
B2 0.500 0.500 0.000
Te1 0.187 0.625 0.062
Te2 0.375 0.437 0.562
Te3 0.563 0.125 0.938
Te4 0.875 0.813 0.438

Simulated powder diffraction line list of AgPd8Pt3 for CuKα, from a crystal structure in Alexandria, relaxed with GGA-PBE.
Lines closer than 0.1° are merged.

Peak list (10 most intense, 2θ from 5° to 70°, most intense first)
| two_theta | I/Imax |
| --- | --- |
| 39.74 | 100 |
| 46.40 | 64 |
| 39.59 | 51 |
| 39.93 | 50 |
| 45.88 | 35 |
| 67.33 | 21 |
| 67.51 | 20 |
| 14.92 | 11 |
| 67.02 | 11 |
| 67.92 | 11 |

Structural model:
Unit cell a=4.806 b=6.261 c=7.301 alpha=94.99 beta=109.00 gamma=105.08
Fractional coordinates of all 12 atoms:
Ag1 0.000 0.000 0.000
Pd1 0.231 0.458 0.150
Pd2 0.383 0.761 0.912
Pd3 0.465 0.919 0.300
Pd4 0.528 0.073 0.676
Pd5 0.613 0.226 0.069
Pd6 0.692 0.373 0.452
Pd7 0.765 0.530 0.835
Pd8 0.924 0.848 0.600
Pt1 0.150 0.302 0.751
Pt2 0.303 0.606 0.525
Pt3 0.848 0.685 0.225

Simulated powder diffraction line list of Rb2AlNiBr6 for CuKα, from a crystal structure in Alexandria, relaxed with GGA-PBE.
Lines closer than 0.1° are merged.

Peak list (10 most intense, 2θ from 5° to 70°, most intense first)
| two_theta | I/Imax |
| --- | --- |
| 29.54 | 100 |
| 34.18 | 59 |
| 49.25 | 41 |
| 34.36 | 29 |
| 58.37 | 28 |
| 61.31 | 21 |
| 49.12 | 20 |
| 58.60 | 14 |
| 24.03 | 8 |
| 16.93 | 7 |

Structural model:
Unit cell a=7.401 b=7.401 c=7.401 alpha=119.83 beta=119.83 gamma=90.29
Fractional coordinates of all 10 atoms:
Rb1 0.250 0.750 0.500
Rb2 0.750 0.250 0.500
Al1 0.000 0.000 0.000
Ni1 0.500 0.500 0.000
Br1 0.246 0.246 0.492
Br2 0.246 0.754 0.000
Br3 0.250 0.250 0.000
Br4 0.750 0.750 0.000
Br5 0.754 0.246 0.000
Br6 0.754 0.754 0.508

Simulated powder diffraction line list of Sr2InTcO6 for CuKα, from a crystal structure in Alexandria, relaxed with GGA-PBE.
Lines closer than 0.1° are merged.

Peak list (10 most intense, 2θ from 5° to 70°, most intense first)
| two_theta | I/Imax |
| --- | --- |
| 31.02 | 100 |
| 44.37 | 28 |
| 30.82 | 24 |
| 31.13 | 24 |
| 54.93 | 17 |
| 55.40 | 17 |
| 55.13 | 16 |
| 44.50 | 15 |
| 55.23 | 11 |
| 21.78 | 8 |

Structural model:
Unit cell a=5.747 b=5.802 c=9.949 alpha=90.00 beta=125.05 gamma=90.00
Fractional coordinates of all 20 atoms:
Sr1 0.242 0.036 0.250
Sr2 0.242 0.464 0.750
Sr3 0.758 0.536 0.250
Sr4 0.758 0.964 0.750
In1 0.500 0.000 0.000
In2 0.500 0.500 0.500
Tc1 0.000 0.000 0.500
Tc2 0.000 0.500 0.000
O1 0.159 0.224 0.960
O2 0.159 0.276 0.460
O3 0.237 0.702 0.962
O4 0.237 0.798 0.462
O5 0.311 0.019 0.738
O6 0.311 0.481 0.238
O7 0.689 0.519 0.762
O8 0.689 0.981 0.262
O9 0.763 0.202 0.538
O10 0.763 0.298 0.038
O11 0.841 0.724 0.540
O12 0.841 0.776 0.040

Simulated powder diffraction line list of La2Cd3Ge2 for CuKα, from a crystal structure in Alexandria, relaxed with GGA-PBE.
Lines closer than 0.1° are merged.

Peak list (10 most intense, 2θ from 5° to 70°, most intense first)
| two_theta | I/Imax |
| --- | --- |
| 30.92 | 100 |
| 32.58 | 66 |
| 36.89 | 49 |
| 57.32 | 26 |
| 57.01 | 26 |
| 42.26 | 25 |
| 45.43 | 21 |
| 37.22 | 18 |
| 63.77 | 15 |
| 30.54 | 13 |

Structural model:
Unit cell a=10.947 b=10.947 c=4.277 alpha=90.00 beta=90.00 gamma=158.98
Fractional coordinates of all 7 atoms:
La1 0.167 0.833 0.000
La2 0.833 0.167 0.000
Cd1 0.000 0.000 0.000
Cd2 0.432 0.568 0.500
Cd3 0.568 0.432 0.500
Ge1 0.287 0.713 0.500
Ge2 0.713 0.287 0.500